This entry pairs a crystal structure of TmTlW2O8 with its theoretical XRD peak list. Radiation: Cu Kα, 1.54184 Å. Structure: a crystal structure in Alexandria, relaxed with PBE+U.
Intensities are scaled so that the largest is 100.

Largest 10 diffraction maxima, most intense first, 2θ = 5–70°:
d [Å], 2θ/deg, I/Imax
3.287, 27.13, 100
3.049, 29.29, 94
2.833, 31.58, 37
3.255, 27.40, 29
2.740, 32.68, 25
2.649, 33.83, 19
1.935, 46.95, 19
2.702, 33.16, 19
1.640, 56.07, 17
1.689, 54.33, 17

Cell and atoms:
```
data_TmTlW2O8
_cell_length_a 11.036
_cell_length_b 10.597
_cell_length_c 7.460
_cell_angle_alpha 90.00
_cell_angle_beta 130.57
_cell_angle_gamma 90.00
_space_group_name_H-M_alt 'C 1 2/c 1'
_space_group_IT_number 15
loop_
_space_group_symop_operation_xyz
'x,y,z'
'-x,-y,-z'
'-x,y,-z+1/2'
'x,-y,z+1/2'
'x+1/2,y+1/2,z'
'-x+1/2,-y+1/2,-z'
'-x+1/2,y+1/2,-z+1/2'
'x+1/2,-y+1/2,z+1/2'
loop_
_atom_site_label
_atom_site_type_symbol
_atom_site_fract_x
_atom_site_fract_y
_atom_site_fract_z
_atom_site_occupancy
Tm1 Tm 0.000 0.223 0.250 1
Tl1 Tl 0.000 0.210 0.750 1
W1 W 0.196 0.495 0.212 1
O1 O 0.014 0.389 0.459 1
O2 O 0.139 0.097 0.200 1
O3 O 0.187 0.435 0.940 1
O4 O 0.204 0.151 0.616 1
```